1.
Structure and simulated X-ray diffraction stick pattern of SmBr3 (a structure optimized by DFT (PBE); a wavelength of 1.5418 Å).
Peak positions follow from Bragg's law for the DFT cell and can differ from measured ones.

```
data_SmBr3
_chemical_formula_sum 'Sm4 Br12'
_cell_length_a 4.0521
_cell_length_b 14.3140
_cell_length_c 9.2424
_cell_angle_alpha 90.00
_cell_angle_beta 90.00
_cell_angle_gamma 90.00
_space_group_name_H-M_alt 'C m c m'
_space_group_IT_number 63
_space_group_name_Hall '-C 2c 2'
loop_
_atom_site_label
_atom_site_type_symbol
_atom_site_fract_x
_atom_site_fract_y
_atom_site_fract_z
Sm1 Sm 0.0000 0.2414 0.2500
Br1 Br 0.0000 0.1569 0.5681
Br2 Br 0.0000 0.4019 0.7500
```

Peak list (10 most intense, 15° ≤ 2θ ≤ 90°, sorted by position)
28.9°, I = 27, hkl 1 3 0; 30.0°, I = 26, hkl 1 1 2; 30.5°, I = 100, hkl 1 3 1; 31.6°, I = 65, hkl 0 2 3; 37.2°, I = 56, hkl 1 1 3; 39.8°, I = 36, hkl 1 5 1; 41.4°, I = 30, hkl 1 3 3; 42.7°, I = 34, hkl 0 6 2; 44.7°, I = 24, hkl 2 0 0; 55.8°, I = 25, hkl 2 2 3

2.
Structure and simulated X-ray diffraction stick pattern of SmBr2 (a structure optimized by DFT (PBE); a wavelength of 1.5418 Å).
Peak positions follow from Bragg's law for the DFT cell and can differ from measured ones.

```
data_SmBr2
_chemical_formula_sum 'Sm4 Br8'
_cell_length_a 7.0719
_cell_length_b 3.9705
_cell_length_c 15.1700
_cell_angle_alpha 90.00
_cell_angle_beta 90.00
_cell_angle_gamma 90.00
_space_group_name_H-M_alt 'P n m a'
_space_group_IT_number 62
_space_group_name_Hall '-P 2ac 2n'
loop_
_atom_site_label
_atom_site_type_symbol
_atom_site_fract_x
_atom_site_fract_y
_atom_site_fract_z
Sm1 Sm 0.2111 0.2500 0.0011
Br1 Br 0.0762 0.2500 0.3931
Br2 Br 0.0921 0.7500 0.1364
```

Peak list (10 most intense, 15° ≤ 2θ ≤ 90°, sorted by position)
25.9°, I = 21, hkl 2 0 1; 26.4°, I = 29, hkl 1 1 1; 27.8°, I = 27, hkl 2 0 2; 28.3°, I = 64, hkl 1 1 2; 31.3°, I = 100, hkl 1 1 3; 34.7°, I = 41, hkl 2 0 4; 39.5°, I = 54, hkl 1 1 5; 45.1°, I = 47, hkl 3 1 1; 45.7°, I = 22, hkl 0 2 0; 58.6°, I = 18, hkl 2 2 4

3.
Structure and simulated X-ray diffraction stick pattern of Sm2TlBr5 (a structure optimized by DFT (PBE); a wavelength of 1.5418 Å).
Peak positions follow from Bragg's law for the DFT cell and can differ from measured ones.

```
data_Sm2TlBr5
_chemical_formula_sum 'Sm8 Tl4 Br20'
_cell_length_a 9.1905
_cell_length_b 7.8293
_cell_length_c 13.3779
_cell_angle_alpha 90.00
_cell_angle_beta 91.85
_cell_angle_gamma 90.00
_space_group_name_H-M_alt 'P 1 21/c 1'
_space_group_IT_number 14
_space_group_name_Hall '-P 2ybc'
loop_
_atom_site_label
_atom_site_type_symbol
_atom_site_fract_x
_atom_site_fract_y
_atom_site_fract_z
Sm1 Sm 0.0111 0.0600 0.1687
Sm2 Sm 0.2436 0.0855 0.5114
Tl1 Tl 0.4951 0.0874 0.1654
Br1 Br 0.0381 0.6690 0.1063
Br2 Br 0.2099 0.6459 0.8229
Br3 Br 0.2122 0.0323 0.9983
Br4 Br 0.2200 0.1661 0.7280
Br5 Br 0.4753 0.6614 0.0878
```

Peak list (10 most intense, 15° ≤ 2θ ≤ 90°, sorted by position)
23.0°, I = 53, hkl 0 1 3; 23.6°, I = 38, hkl 0 2 1; 29.0°, I = 39, hkl 0 1 4; 29.8°, I = 34, hkl 2 1 -3; 30.6°, I = 99, hkl 2 2 -1; 30.9°, I = 100, hkl 2 2 1; 32.6°, I = 76, hkl 2 0 -4; 33.2°, I = 29, hkl 2 2 2; 33.7°, I = 44, hkl 2 0 4; 39.2°, I = 54, hkl 4 0 0

4.
Structure and simulated X-ray diffraction stick pattern of SnBr2 (a structure optimized by DFT (PBE); a wavelength of 1.5418 Å).
Peak positions follow from Bragg's law for the DFT cell and can differ from measured ones.

```
data_SnBr2
_chemical_formula_sum 'Sn4 Br8'
_cell_length_a 9.2333
_cell_length_b 4.3122
_cell_length_c 10.8204
_cell_angle_alpha 90.00
_cell_angle_beta 90.00
_cell_angle_gamma 90.00
_space_group_name_H-M_alt 'P n m a'
_space_group_IT_number 62
_space_group_name_Hall '-P 2ac 2n'
loop_
_atom_site_label
_atom_site_type_symbol
_atom_site_fract_x
_atom_site_fract_y
_atom_site_fract_z
Sn1 Sn 0.1066 0.2500 0.1632
Br1 Br 0.0074 0.2500 0.6882
Br2 Br 0.1627 0.7500 0.9512
```

Peak list (10 most intense, 15° ≤ 2θ ≤ 90°, sorted by position)
20.9°, I = 19, hkl 2 0 1; 25.4°, I = 25, hkl 2 0 2; 28.2°, I = 100, hkl 1 1 2; 30.2°, I = 28, hkl 3 0 1; 32.9°, I = 35, hkl 2 1 2; 33.8°, I = 29, hkl 1 1 3; 34.6°, I = 18, hkl 1 0 4; 40.6°, I = 19, hkl 1 1 4; 41.9°, I = 25, hkl 0 2 0; 45.3°, I = 34, hkl 4 1 1